Entry 1:
The following is a theoretical powder diffraction line list of PmHo3Bi4. It was derived from a PBE-relaxed structure, using copper Kα.
Neutral-atom scattering factors, no anomalous dispersion.

Structural model:
```
data_PmHo3Bi4
_chemical_formula_sum 'Pm1 Ho3 Bi4'
_space_group_name_H-M_alt 'P m -3 m'
_space_group_IT_number 221
_space_group_name_Hall '-P 4 2 3'
_cell_length_a 6.349
_cell_length_b 6.349
_cell_length_c 6.349
_cell_angle_alpha 90.00
_cell_angle_beta 90.00
_cell_angle_gamma 90.00
loop_
_atom_site_label
_atom_site_fract_x
_atom_site_fract_y
_atom_site_fract_z
Pm1 0.000 0.000 0.000
Ho1 0.000 0.500 0.500
Bi1 0.000 0.000 0.500
Bi2 0.500 0.500 0.500
```

Top 10 peaks for 2θ from 10° to 90°, by intensity:
- (2 0 0), 28.1°, I = 100.0
- (2 2 0), 40.2°, I = 78.3
- (4 2 0), 65.8°, I = 37.4
- (2 2 2), 49.7°, I = 28.5
- (4 2 2), 73.0°, I = 27.9
- (4 0 0), 58.1°, I = 13.5
- (4 4 0), 86.8°, I = 9.3
- (1 1 1), 24.3°, I = 3.0
- (3 1 1), 47.5°, I = 1.8
- (3 3 1), 63.9°, I = 0.8

---

Entry 2:
The following is a theoretical powder diffraction line list of PmHo2Bi4. It was derived from a PBE-relaxed structure, using copper Kα.
Neutral-atom scattering factors, no anomalous dispersion.

Structural model:
```
data_PmHo2Bi4
_chemical_formula_sum 'Pm4 Ho8 Bi16'
_space_group_name_H-M_alt 'C m c m'
_space_group_IT_number 63
_space_group_name_Hall '-C 2c 2'
_cell_length_a 4.523
_cell_length_b 11.390
_cell_length_c 17.097
_cell_angle_alpha 90.00
_cell_angle_beta 90.00
_cell_angle_gamma 90.00
loop_
_atom_site_label
_atom_site_fract_x
_atom_site_fract_y
_atom_site_fract_z
Pm1 0.000 0.055 0.250
Ho1 0.000 0.340 0.074
Bi1 0.000 0.000 0.000
Bi2 0.000 0.346 0.250
Bi3 0.000 0.350 0.620
```

Top 10 peaks for 2θ from 10° to 90°, by intensity:
- (1 3 0), 30.7°, I = 100.0
- (1 1 5), 33.8°, I = 40.8
- (1 1 4), 29.8°, I = 40.8
- (2 0 0), 39.9°, I = 29.5
- (0 2 5), 30.5°, I = 20.7
- (0 2 4), 26.1°, I = 18.0
- (0 0 6), 31.4°, I = 16.5
- (1 1 6), 38.2°, I = 12.5
- (0 4 5), 41.3°, I = 11.8
- (3 3 0), 66.8°, I = 11.3

---

Entry 3:
The following is a theoretical powder diffraction line list of Pm2HoBi. It was derived from a PBE-relaxed structure, using copper Kα.
Neutral-atom scattering factors, no anomalous dispersion.

Structural model:
```
data_Pm2HoBi
_chemical_formula_sum 'Pm2 Ho1 Bi1'
_space_group_name_H-M_alt 'P 4/m m m'
_space_group_IT_number 123
_space_group_name_Hall '-P 4 2'
_cell_length_a 4.296
_cell_length_b 4.296
_cell_length_c 6.831
_cell_angle_alpha 90.00
_cell_angle_beta 90.00
_cell_angle_gamma 90.00
loop_
_atom_site_label
_atom_site_fract_x
_atom_site_fract_y
_atom_site_fract_z
Pm1 0.000 0.000 0.238
Ho1 0.500 0.500 0.500
Bi1 0.500 0.500 0.000
```

Top 10 peaks for 2θ from 10° to 90°, by intensity:
- (1 0 2), 33.5°, I = 100.0
- (1 1 0), 29.4°, I = 71.0
- (2 1 2), 54.8°, I = 49.9
- (2 0 0), 42.1°, I = 27.2
- (1 1 4), 62.4°, I = 16.5
- (3 2 2), 86.5°, I = 14.2
- (3 1 0), 69.2°, I = 12.6
- (2 0 4), 70.4°, I = 11.5
- (3 0 2), 71.4°, I = 11.4
- (2 2 0), 61.0°, I = 9.2

---

Question: What is the formula in the first record?
Answer: PmHo3Bi4

---

Copy entry 1 word for word.
The following is a theoretical powder diffraction line list of PmHo3Bi4. It was derived from a PBE-relaxed structure, using copper Kα.
Neutral-atom scattering factors, no anomalous dispersion.

Structural model:
```
data_PmHo3Bi4
_chemical_formula_sum 'Pm1 Ho3 Bi4'
_space_group_name_H-M_alt 'P m -3 m'
_space_group_IT_number 221
_space_group_name_Hall '-P 4 2 3'
_cell_length_a 6.349
_cell_length_b 6.349
_cell_length_c 6.349
_cell_angle_alpha 90.00
_cell_angle_beta 90.00
_cell_angle_gamma 90.00
loop_
_atom_site_label
_atom_site_fract_x
_atom_site_fract_y
_atom_site_fract_z
Pm1 0.000 0.000 0.000
Ho1 0.000 0.500 0.500
Bi1 0.000 0.000 0.500
Bi2 0.500 0.500 0.500
```

Top 10 peaks for 2θ from 10° to 90°, by intensity:
- (2 0 0), 28.1°, I = 100.0
- (2 2 0), 40.2°, I = 78.3
- (4 2 0), 65.8°, I = 37.4
- (2 2 2), 49.7°, I = 28.5
- (4 2 2), 73.0°, I = 27.9
- (4 0 0), 58.1°, I = 13.5
- (4 4 0), 86.8°, I = 9.3
- (1 1 1), 24.3°, I = 3.0
- (3 1 1), 47.5°, I = 1.8
- (3 3 1), 63.9°, I = 0.8

---

Question: What is the formula in the first record?
Answer: PmHo3Bi4